# BeCd2Br
Computed powder XRD pattern, Cu Kα, 1.54184 Å. Input: DFT lattice parameters and positions (PBE).
No peak broadening, texture or thermal motion is included.

Cell and atoms:
Unit cell a=3.2589 b=3.2589 c=7.7633 alpha=90.00 beta=90.00 gamma=90.00
Space group P4/mmm (No. 123)
Unique sites:
Be 0.0000 0.0000 0.0000 [1 per cell]
Cd 0.5000 0.5000 0.2077 [2 per cell]
Br 0.0000 0.0000 0.5000 [1 per cell]

Peak list (12 most intense, 2θ = 10–90°, by angle)
2θ/deg	d_spacing	I_rel
22.9	3.882	12
27.4	3.259	25
29.7	3.005	38
34.7	2.588	20
36.0	2.496	100
39.1	2.304	49
53.2	1.721	22
56.5	1.629	16
62.6	1.484	9
66.7	1.402	17
68.0	1.379	10
68.8	1.364	28

# BaSnSb2
Computed powder XRD pattern, Cu Kα, 1.54184 Å. Input: DFT lattice parameters and positions (PBE).
No peak broadening, texture or thermal motion is included.

Cell and atoms:
Unit cell a=8.5325 b=8.5325 c=7.5978 alpha=90.00 beta=90.00 gamma=90.00
Space group I4/mcm (No. 140)
Unique sites:
Ba 0.0000 0.0000 0.2500 [4 per cell]
Sn 0.0000 0.5000 0.2500 [4 per cell]
Sb 0.1846 0.3154 0.0000 [8 per cell]

Peak list (12 most intense, 2θ = 10–90°, by angle)
2θ/deg	d_spacing	I_rel
26.1	3.410	49
29.6	3.017	45
31.5	2.837	100
42.9	2.110	13
45.4	1.997	20
47.7	1.908	13
47.9	1.899	11
49.0	1.860	12
53.8	1.705	15
57.3	1.607	14
57.5	1.602	10
74.7	1.271	14

# K9Au3O2
Computed powder XRD pattern, Cu Kα, 1.54184 Å. Input: DFT lattice parameters and positions (PBE).
No peak broadening, texture or thermal motion is included.

Cell and atoms:
Unit cell a=7.6519 b=7.6519 c=9.4148 alpha=90.00 beta=90.00 gamma=120.00
Space group P-3m1 (No. 164)
Unique sites:
K 0.0000 0.5000 0.0000 [3 per cell]
K 0.1771 0.3542 0.6821 [6 per cell]
Au 0.0000 0.0000 0.0000 [1 per cell]
Au 0.3333 0.6667 0.3501 [2 per cell]
O 0.3333 0.6667 0.8390 [2 per cell]

Peak list (12 most intense, 2θ = 10–90°, by angle)
2θ/deg	d_spacing	I_rel
16.4	5.419	77
23.2	3.832	98
28.4	3.138	32
28.6	3.125	100
33.1	2.709	77
37.1	2.423	45
40.8	2.210	35
47.4	1.919	25
47.5	1.913	27
50.6	1.805	20
56.3	1.633	40
59.1	1.563	13